Structure and simulated PXRD pattern of LaNb6Se8 (a cell relaxed with PBE; Cu Kα, 1.54184 Å).
Peak positions follow from Bragg's law for the DFT cell and can differ from measured ones.

Most intense lines, 10° ≤ 2θ ≤ 90°, sorted by position:
Position (°2θ)  d (Å)  Rel. int.  (hkl)
12.8  6.911  40  1 0 1
28.3  3.157  47  2 -1 3
29.5  3.028  37  2 1 1
32.0  2.797  61  1 2 2
32.6  2.751  52  3 0 0
37.2  2.419  40  0 1 5
40.0  2.252  68  1 3 1
40.6  2.221  58  3 -1 4
43.6  2.074  100  2 2 3
56.7  1.624  32  5 -2 4

Structure:
```
data_LaNb6Se8
_chemical_formula_sum 'La3 Nb18 Se24'
_symmetry_space_group_name_H-M 'R -3'
_symmetry_Int_Tables_number 148
_symmetry_space_group_name_Hall '-R 3'
_cell_length_a 9.5287
_cell_length_b 9.5287
_cell_length_c 12.6487
_cell_angle_alpha 90.00
_cell_angle_beta 90.00
_cell_angle_gamma 120.00
loop_
_atom_site_label
_atom_site_fract_x
_atom_site_fract_y
_atom_site_fract_z
La1 0.0000 0.0000 0.0000
Nb1 0.0209 0.8392 0.3927
Se1 0.0000 0.0000 0.2345
Se2 0.0043 0.3694 0.7604
```

***

Structure and simulated PXRD pattern of Ba2SrSeO6 (a cell relaxed with PBE; Cu Kα, 1.54184 Å).
Peak positions follow from Bragg's law for the DFT cell and can differ from measured ones.

Most intense lines, 10° ≤ 2θ ≤ 90°, sorted by position:
Position (°2θ)  d (Å)  Rel. int.  (hkl)
20.9  4.241  2  2 0 0
29.8  2.999  100  2 2 0
36.7  2.448  8  2 2 2
42.6  2.120  30  4 0 0
52.9  1.731  38  4 2 2
61.9  1.499  18  4 4 0
70.2  1.341  19  6 2 0
74.2  1.279  2  6 2 2
78.1  1.224  6  4 4 4
85.7  1.133  22  6 4 2

Structure:
```
data_Ba2SrSeO6
_chemical_formula_sum 'Ba8 Sr4 Se4 O24'
_symmetry_space_group_name_H-M 'F m -3 m'
_symmetry_Int_Tables_number 225
_symmetry_space_group_name_Hall '-F 4 2 3'
_cell_length_a 8.4818
_cell_length_b 8.4818
_cell_length_c 8.4818
_cell_angle_alpha 90.00
_cell_angle_beta 90.00
_cell_angle_gamma 90.00
loop_
_atom_site_label
_atom_site_fract_x
_atom_site_fract_y
_atom_site_fract_z
Ba1 0.2500 0.2500 0.2500
Sr1 0.0000 0.0000 0.0000
Se1 0.0000 0.0000 0.5000
O1 0.0000 0.0000 0.2828
```

***

Structure and simulated PXRD pattern of CeMgZr7O16 (a cell relaxed with PBE; Cu Kα, 1.54184 Å).
Peak positions follow from Bragg's law for the DFT cell and can differ from measured ones.

Most intense lines, 10° ≤ 2θ ≤ 90°, sorted by position:
Position (°2θ)  d (Å)  Rel. int.  (hkl)
28.9  3.090  100  2 0 1
32.8  2.730  11  0 0 2
33.8  2.650  17  2 2 0
47.8  1.902  40  2 2 2
48.6  1.874  20  4 0 0
56.2  1.637  15  2 0 3
57.5  1.602  25  4 2 1
59.9  1.545  8  4 0 2
77.4  1.233  10  4 2 3
78.9  1.214  5  2 2 4

Structure:
```
data_CeMgZr7O16
_chemical_formula_sum 'Ce1 Mg1 Zr7 O16'
_symmetry_space_group_name_H-M 'P -4 m 2'
_symmetry_Int_Tables_number 115
_cell_length_a 7.4956
_cell_length_b 7.4956
_cell_length_c 5.4607
_cell_angle_alpha 90.00
_cell_angle_beta 90.00
_cell_angle_gamma 90.00
loop_
_symmetry_equiv_pos_as_xyz
'x,y,z'
'y,-x,-z'
'-x,-y,z'
'-y,x,-z'
'-x,y,z'
'-y,-x,-z'
'x,-y,z'
'y,x,-z'
loop_
_atom_site_label
_atom_site_fract_x
_atom_site_fract_y
_atom_site_fract_z
Ce1 0.0000 0.0000 0.0000
Mg1 0.0000 0.0000 0.5000
Zr1 0.0000 0.5000 0.0134
Zr2 0.2691 0.2691 0.5000
Zr3 0.5000 0.5000 0.0000
O1 0.0000 0.2278 0.3341
O2 0.0000 0.2806 0.8002
O3 0.2294 0.5000 0.2266
O4 0.2895 0.5000 0.7163
```

***

Q: Which formula does entry 1 have?
A: LaNb6Se8